Starting from DFT lattice parameters and positions (GGA+U), the powder X-ray diffraction pattern of LiAcCoO4 was simulated for Cu Kα (weighted mean of Kα1 and Kα2).
Intensities are scaled so that the largest is 100.

Largest 6 diffraction maxima, low angle first, 10 to 90 degrees two-theta:
| 2θ/deg | I (rel.) | h k l |
| --- | --- | --- |
| 14.1 | 94.5 | 0 0 1 |
| 22.2 | 49.9 | 1 1 0 |
| 22.8 | 100.0 | 1 1 -1 |
| 29.6 | 67.9 | 1 1 1 |
| 30.9 | 51.6 | 1 1 -2 |
| 31.5 | 37.1 | 0 2 0 |

Structural model:
Unit cell a=6.0955 b=5.6803 c=6.8307 alpha=90.00 beta=112.75 gamma=90.00
Space group P2_1/m (No. 11)
Unique sites:
Li 0.2141 0.2500 0.4552 x2
Ac 0.2601 0.2500 0.0264 x2
Co 0.2886 0.7500 0.3252 x2
O 0.0786 0.5063 0.2403 x4
O 0.4604 0.7500 0.1571 x2
O 0.4703 0.7500 0.5951 x2

Starting from DFT lattice parameters and positions (GGA+U), the powder X-ray diffraction pattern of LiAc2Co2O6 was simulated for Cu Kα (weighted mean of Kα1 and Kα2).
Intensities are scaled so that the largest is 100.

Largest 6 diffraction maxima, low angle first, 10 to 90 degrees two-theta:
| 2θ/deg | I (rel.) | h k l |
| --- | --- | --- |
| 16.4 | 45.1 | 0 0 3 |
| 20.7 | 73.6 | 0 1 2 |
| 30.7 | 100.0 | 1 1 0 |
| 32.9 | 74.1 | 0 1 5 |
| 35.0 | 37.3 | 1 1 3 |
| 37.3 | 36.7 | 2 0 2 |

Structural model:
Unit cell a=5.8296 b=5.8296 c=16.1860 alpha=90.00 beta=90.00 gamma=120.00
Space group R-3m (No. 166, hexagonal axes)
Unique sites:
Li 0.0000 0.0000 0.0000 x3
Ac 0.0000 0.0000 0.2122 x6
Co 0.0000 0.0000 0.4158 x6
O 0.0211 0.5105 0.7584 x18

Starting from DFT lattice parameters and positions (GGA+U), the powder X-ray diffraction pattern of LiAc4Co3O12 was simulated for Cu Kα (weighted mean of Kα1 and Kα2).
Intensities are scaled so that the largest is 100.

Largest 6 diffraction maxima, low angle first, 10 to 90 degrees two-theta:
| 2θ/deg | I (rel.) | h k l |
| --- | --- | --- |
| 22.5 | 43.8 | 2 0 0 |
| 32.1 | 100.0 | 2 2 0 |
| 39.6 | 29.3 | 2 2 2 |
| 46.0 | 28.9 | 4 0 0 |
| 51.8 | 21.9 | 4 2 0 |
| 57.2 | 40.2 | 4 2 2 |

Structural model:
Unit cell a=7.8929 b=7.8929 c=7.8929 alpha=90.00 beta=90.00 gamma=90.00
Space group Im-3m (No. 229)
Unique sites:
Li 0.0000 0.0000 0.0000 x2
Ac 0.2500 0.2500 0.2500 x8
Co 0.0000 0.0000 0.5000 x6
O 0.0000 0.0000 0.2631 x12
O 0.0000 0.2500 0.5000 x12

Starting from DFT lattice parameters and positions (GGA+U), the powder X-ray diffraction pattern of LiAc2CoO6 was simulated for Cu Kα (weighted mean of Kα1 and Kα2).
Intensities are scaled so that the largest is 100.

Largest 6 diffraction maxima, low angle first, 10 to 90 degrees two-theta:
| 2θ/deg | I (rel.) | h k l |
| --- | --- | --- |
| 22.6 | 30.0 | 0 0 2 |
| 22.8 | 58.4 | 1 1 0 |
| 32.3 | 100.0 | 1 1 2 |
| 32.5 | 49.3 | 2 0 0 |
| 39.9 | 55.5 | 2 0 2 |
| 57.9 | 39.8 | 3 1 2 |

Structural model:
Unit cell a=5.5079 b=5.5119 c=7.8831 alpha=90.00 beta=90.00 gamma=90.00
Space group Immm (No. 71)
Unique sites:
Li 0.0000 0.0000 0.0000 x2
Ac 0.0000 0.5000 0.2494 x4
Co 0.0000 0.0000 0.5000 x2
O 0.0000 0.0000 0.2606 x4
O 0.2394 0.2368 0.5000 x8